Starting from the PBE+U geometry in Alexandria, the PXRD pattern of BaYMnCuO5 was simulated for Cu Ka.
Kinematic intensities with the Lorentz-polarization factor, no thermal factor.

The 10 most intense peaks (15° ≤ 2θ ≤ 90°), by angle:
| h k l | d (Å) | two_theta | I/Imax |
| --- | --- | --- | --- |
| 1 0 0 | 3.911 | 22.74 | 5 |
| 1 0 2 | 2.761 | 32.42 | 100 |
| 1 1 2 | 2.255 | 39.99 | 9 |
| 2 0 0 | 1.956 | 46.44 | 21 |
| 0 0 4 | 1.947 | 46.65 | 6 |
| 2 1 2 | 1.595 | 57.79 | 26 |
| 1 1 4 | 1.592 | 57.93 | 14 |
| 2 2 0 | 1.383 | 67.77 | 6 |
| 2 0 4 | 1.380 | 67.94 | 8 |
| 3 0 2 | 1.236 | 77.14 | 10 |

Crystal structure
Cell lengths 3.911, 3.911, 7.788 Å; angles 90.00, 90.00, 90.00 degrees
Sites, in units of the cell vectors:
Ba: 0.000 0.000 0.000
Y: 0.000 0.000 0.528
Mn: 0.500 0.500 0.287
Cu: 0.500 0.500 0.746
O: 0.000 0.500 0.342
O: 0.000 0.500 0.708
O: 0.500 0.000 0.342
O: 0.500 0.000 0.708
O: 0.500 0.500 0.033